For HgP3S9, a cell relaxed with GGA-PBE gives the simulated X-ray diffraction stick pattern in this record (Cu Kα (weighted mean of Kα1 and Kα2)).
Peak positions follow from Bragg's law for the DFT cell and can differ from measured ones.

Most intense lines, 2θ = 10–90°, by angle:
8.826 Å, 2θ = 10.02°, intensity 100; 6.344 Å, 2θ = 13.96°, intensity 56; 5.799 Å, 2θ = 15.28°, intensity 45; 4.847 Å, 2θ = 18.31°, intensity 32; 4.817 Å, 2θ = 18.42°, intensity 30; 3.945 Å, 2θ = 22.54°, intensity 18; 3.444 Å, 2θ = 25.87°, intensity 19; 2.759 Å, 2θ = 32.45°, intensity 29; 2.706 Å, 2θ = 33.10°, intensity 28; 2.491 Å, 2θ = 36.05°, intensity 19

Unit cell a=9.772 b=9.772 c=11.598 alpha=90.00 beta=90.00 gamma=129.15
Sites, in units of the cell vectors:
Hg1 0.166 0.166 0.000
Hg2 0.834 0.834 0.500
P1 0.237 0.237 0.500
P2 0.334 0.594 0.892
P3 0.406 0.666 0.608
P4 0.594 0.334 0.108
P5 0.666 0.406 0.392
P6 0.763 0.763 0.000
S1 0.099 0.361 0.942
S2 0.116 0.117 0.646
S3 0.117 0.116 0.354
S4 0.222 0.690 0.641
S5 0.302 0.489 0.465
S6 0.310 0.778 0.859
S7 0.361 0.099 0.058
S8 0.447 0.553 0.750
S9 0.489 0.302 0.535
S10 0.511 0.698 0.035
S11 0.553 0.447 0.250
S12 0.639 0.901 0.558
S13 0.690 0.222 0.359
S14 0.698 0.511 0.965
S15 0.778 0.310 0.141
S16 0.883 0.884 0.854
S17 0.884 0.883 0.146
S18 0.901 0.639 0.442

=====

For KAc2Hg2Pb2, a cell relaxed with GGA-PBE gives the simulated X-ray diffraction stick pattern in this record (Cu Kα (weighted mean of Kα1 and Kα2)).
Peak positions follow from Bragg's law for the DFT cell and can differ from measured ones.

Most intense lines, 2θ = 10–90°, by angle:
5.194 Å, 2θ = 17.07°, intensity 22; 3.254 Å, 2θ = 27.41°, intensity 64; 2.753 Å, 2θ = 32.53°, intensity 100; 2.661 Å, 2θ = 33.68°, intensity 23; 2.609 Å, 2θ = 34.38°, intensity 41; 2.432 Å, 2θ = 36.96°, intensity 21; 2.102 Å, 2θ = 43.04°, intensity 19; 1.803 Å, 2θ = 50.62°, intensity 23; 1.671 Å, 2θ = 54.97°, intensity 19; 1.589 Å, 2θ = 58.03°, intensity 20

Unit cell a=10.864 b=10.864 c=10.864 alpha=29.36 beta=29.36 gamma=29.36
Sites, in units of the cell vectors:
K1 0.000 0.000 0.000
Ac1 0.132 0.132 0.132
Ac2 0.868 0.868 0.868
Hg1 0.441 0.441 0.441
Hg2 0.559 0.559 0.559
Pb1 0.253 0.253 0.253
Pb2 0.747 0.747 0.747

=====

For BC2, a cell relaxed with GGA-PBE gives the simulated X-ray diffraction stick pattern in this record (Cu Kα (weighted mean of Kα1 and Kα2)).
Peak positions follow from Bragg's law for the DFT cell and can differ from measured ones.

Most intense lines, 2θ = 10–90°, by angle:
6.053 Å, 2θ = 14.63°, intensity 40; 4.036 Å, 2θ = 22.03°, intensity 5; 2.157 Å, 2θ = 41.87°, intensity 100; 2.106 Å, 2θ = 42.94°, intensity 93; 1.333 Å, 2θ = 70.69°, intensity 50; 1.276 Å, 2θ = 74.31°, intensity 12; 1.235 Å, 2θ = 77.28°, intensity 11; 1.190 Å, 2θ = 80.75°, intensity 8; 1.181 Å, 2θ = 81.48°, intensity 6; 1.092 Å, 2θ = 89.86°, intensity 16

Unit cell a=2.469 b=2.553 c=12.107 alpha=90.00 beta=90.00 gamma=90.00
Sites, in units of the cell vectors:
B1 0.000 0.000 0.000
B2 0.000 0.000 0.324
B3 0.500 0.000 0.887
B4 0.500 0.500 0.495
C1 0.000 0.000 0.654
C2 0.000 0.500 0.083
C3 0.000 0.500 0.406
C4 0.000 0.500 0.732
C5 0.500 0.000 0.230
C6 0.500 0.000 0.583
C7 0.500 0.500 0.158
C8 0.500 0.500 0.804